Entry 1:
Theoretical powder XRD pattern of Ac12Pm5Dy for Cu Kα (weighted mean of Kα1 and Kα2), from a crystal structure in Alexandria, relaxed with GGA-PBE.
Kinematic intensities with the Lorentz-polarization factor, no thermal factor.

Structural model:
Cell lengths 6.7554, 6.7554, 18.9502 Å; angles 93.38, 93.38, 120.03 degrees
Sites, in units of the cell vectors:
1 Ac 0.0527 0.3849 0.1616
2 Ac 0.1117 0.1117 0.3375
3 Ac 0.2216 0.5550 0.6625
4 Ac 0.2794 0.2794 0.8384
5 Ac 0.3849 0.0527 0.1616
6 Ac 0.4450 0.7784 0.3375
7 Ac 0.5550 0.2216 0.6625
8 Ac 0.6152 0.9473 0.8384
9 Ac 0.7206 0.7206 0.1616
10 Ac 0.7784 0.4450 0.3375
11 Ac 0.8883 0.8883 0.6625
12 Ac 0.9473 0.6152 0.8384
13 Pm 0.1668 0.8332 0.5000
14 Pm 0.3334 0.6666 0.0000
15 Pm 0.5000 0.5000 0.5000
16 Pm 0.6666 0.3334 0.0000
17 Pm 0.8332 0.1668 0.5000
18 Dy 0.0000 0.0000 0.0000

Most intense lines, 2θ = 15–90°, sorted by position:
2θ (°)  d_spacing  I_rel
27.57  3.235  100
28.46  3.136  74
28.66  3.115  45
29.32  3.046  73
30.85  2.898  71
31.72  2.821  23
33.62  2.666  55
45.69  1.986  27
46.58  1.950  60
55.49  1.656  71

---

Entry 2:
Theoretical powder XRD pattern of Sm3GeO8 for Cu Kα (weighted mean of Kα1 and Kα2), from a crystal structure in Alexandria, relaxed with GGA-PBE.
Kinematic intensities with the Lorentz-polarization factor, no thermal factor.

Structural model:
Cell lengths 5.4676, 10.4868, 6.3168 Å; angles 90.00, 105.43, 90.00 degrees
Sites, in units of the cell vectors:
1 Sm 0.1863 0.0477 0.2981
2 Sm 0.1863 0.4523 0.2981
3 Sm 0.2813 0.2500 0.8177
4 Sm 0.7187 0.7500 0.1823
5 Sm 0.8137 0.5477 0.7019
6 Sm 0.8137 0.9523 0.7019
7 Ge 0.3132 0.7500 0.5081
8 Ge 0.6868 0.2500 0.4919
9 O 0.0506 0.6320 0.4685
10 O 0.0506 0.8680 0.4685
11 O 0.0640 0.2500 0.1032
12 O 0.1989 0.0346 0.9340
13 O 0.1989 0.4654 0.9340
14 O 0.4875 0.6261 0.3849
15 O 0.4875 0.8739 0.3849
16 O 0.4948 0.2500 0.2087
17 O 0.5052 0.7500 0.7913
18 O 0.5125 0.1261 0.6151
19 O 0.5125 0.3739 0.6151
20 O 0.8011 0.5346 0.0660
21 O 0.8011 0.9654 0.0660
22 O 0.9360 0.7500 0.8968
23 O 0.9494 0.1320 0.5315
24 O 0.9494 0.3680 0.5315

Most intense lines, 2θ = 15–90°, sorted by position:
2θ (°)  d_spacing  I_rel
18.84  4.709  60
25.63  3.476  93
26.54  3.359  35
29.46  3.032  68
29.73  3.005  42
30.44  2.937  100
30.95  2.889  35
32.05  2.793  38
34.03  2.635  41
48.07  1.893  38

---

Entry 3:
Theoretical powder XRD pattern of KLa3S4 for Cu Kα (weighted mean of Kα1 and Kα2), from a crystal structure in Alexandria, relaxed with GGA-PBE.
Kinematic intensities with the Lorentz-polarization factor, no thermal factor.

Structural model:
Cell lengths 4.2189, 4.2189, 28.3830 Å; angles 90.00, 90.00, 120.00 degrees
Sites, in units of the cell vectors:
1 K 0.3333 0.6667 0.2500
2 K 0.6667 0.3333 0.7500
3 La 0.0000 0.0000 0.0000
4 La 0.0000 0.0000 0.5000
5 La 0.3333 0.6667 0.6184
6 La 0.3333 0.6667 0.8816
7 La 0.6667 0.3333 0.1184
8 La 0.6667 0.3333 0.3816
9 S 0.0000 0.0000 0.1733
10 S 0.0000 0.0000 0.3267
11 S 0.0000 0.0000 0.6733
12 S 0.0000 0.0000 0.8267
13 S 0.3333 0.6667 0.0597
14 S 0.3333 0.6667 0.4403
15 S 0.6667 0.3333 0.5597
16 S 0.6667 0.3333 0.9403

Most intense lines, 2θ = 15–90°, sorted by position:
2θ (°)  d_spacing  I_rel
25.12  3.545  37
26.15  3.408  42
27.46  3.248  65
29.06  3.072  55
30.93  2.892  73
33.00  2.714  32
42.89  2.109  100
45.69  1.986  29
50.33  1.813  27
78.56  1.218  22

---

Entry 4:
Theoretical powder XRD pattern of Re2NiH2 for Cu Kα (weighted mean of Kα1 and Kα2), from a crystal structure in Alexandria, relaxed with GGA-PBE.
Kinematic intensities with the Lorentz-polarization factor, no thermal factor.

Structural model:
Cell lengths 3.0778, 3.0778, 9.8252 Å; angles 90.00, 90.00, 90.00 degrees
Sites, in units of the cell vectors:
1 Re 0.0000 0.0000 0.1369
2 Re 0.0000 0.0000 0.8631
3 Re 0.5000 0.5000 0.3631
4 Re 0.5000 0.5000 0.6369
5 Ni 0.0000 0.0000 0.5000
6 Ni 0.5000 0.5000 0.0000
7 H 0.0000 0.5000 0.2500
8 H 0.0000 0.5000 0.7500
9 H 0.5000 0.0000 0.2500
10 H 0.5000 0.0000 0.7500

Most intense lines, 2θ = 15–90°, sorted by position:
2θ (°)  d_spacing  I_rel
30.43  2.937  45
36.58  2.456  18
40.21  2.243  100
41.49  2.176  60
55.48  1.656  12
56.49  1.629  22
60.13  1.539  20
72.48  1.304  11
74.26  1.277  10
74.82  1.269  32

---

Entry 5:
Theoretical powder XRD pattern of Nb4PbS8 for Cu Kα (weighted mean of Kα1 and Kα2), from a crystal structure in Alexandria, relaxed with GGA-PBE.
Kinematic intensities with the Lorentz-polarization factor, no thermal factor.

Structural model:
Cell lengths 6.7763, 6.7763, 9.5601 Å; angles 122.06, 122.06, 60.08 degrees
Sites, in units of the cell vectors:
1 Nb 0.2473 0.2473 0.9963
2 Nb 0.2465 0.7535 0.0000
3 Nb 0.7535 0.2465 0.0000
4 Nb 0.7527 0.7527 0.0037
5 Pb 0.5000 0.5000 0.5000
6 S 0.1876 0.1876 0.2087
7 S 0.1879 0.6872 0.2074
8 S 0.3128 0.8121 0.7926
9 S 0.3157 0.3157 0.7957
10 S 0.6843 0.6843 0.2043
11 S 0.6872 0.1879 0.2074
12 S 0.8121 0.3128 0.7926
13 S 0.8124 0.8124 0.7913

Most intense lines, 2θ = 15–90°, sorted by position:
2θ (°)  d_spacing  I_rel
16.19  5.474  45
19.16  4.633  16
23.27  3.822  21
23.56  3.776  14
30.45  2.935  39
32.73  2.736  22
38.86  2.317  100
54.12  1.695  26
58.09  1.588  19
68.60  1.368  17

---

Entry 6:
Theoretical powder XRD pattern of PuScAlO6 for Cu Kα (weighted mean of Kα1 and Kα2), from a crystal structure in Alexandria, relaxed with GGA-PBE.
Kinematic intensities with the Lorentz-polarization factor, no thermal factor.

Structural model:
Cell lengths 5.1753, 5.1753, 9.1969 Å; angles 90.00, 90.00, 120.00 degrees
Sites, in units of the cell vectors:
1 Pu 0.3333 0.6667 0.2500
2 Pu 0.6667 0.3333 0.7500
3 Sc 0.0000 0.0000 0.0000
4 Sc 0.0000 0.0000 0.5000
5 Al 0.3333 0.6667 0.7500
6 Al 0.6667 0.3333 0.2500
7 O 0.0207 0.3534 0.6345
8 O 0.0207 0.6673 0.8655
9 O 0.3327 0.3534 0.8655
10 O 0.3327 0.9793 0.6345
11 O 0.3534 0.0207 0.1345
12 O 0.3534 0.3327 0.3655
13 O 0.6466 0.6673 0.6345
14 O 0.6466 0.9793 0.8655
15 O 0.6673 0.0207 0.3655
16 O 0.6673 0.6466 0.1345
17 O 0.9793 0.3327 0.1345
18 O 0.9793 0.6466 0.3655

Most intense lines, 2θ = 15–90°, sorted by position:
2θ (°)  d_spacing  I_rel
19.30  4.598  40
19.81  4.482  17
22.06  4.029  100
27.80  3.210  61
34.67  2.588  36
35.48  2.530  35
39.98  2.255  38
41.47  2.177  24
53.30  1.719  39
55.13  1.666  20

---

Entry 7:
Theoretical powder XRD pattern of Pa2Ga8Cu for Cu Kα (weighted mean of Kα1 and Kα2), from a crystal structure in Alexandria, relaxed with GGA-PBE.
Kinematic intensities with the Lorentz-polarization factor, no thermal factor.

Structural model:
Cell lengths 4.3231, 4.3231, 11.1814 Å; angles 90.00, 90.00, 90.00 degrees
Sites, in units of the cell vectors:
1 Pa 0.0000 0.0000 0.1895
2 Pa 0.0000 0.0000 0.8105
3 Ga 0.0000 0.5000 0.0000
4 Ga 0.0000 0.5000 0.3774
5 Ga 0.0000 0.5000 0.6226
6 Ga 0.5000 0.0000 0.0000
7 Ga 0.5000 0.0000 0.3774
8 Ga 0.5000 0.0000 0.6226
9 Ga 0.5000 0.5000 0.1883
10 Ga 0.5000 0.5000 0.8117
11 Cu 0.0000 0.0000 0.5000

Most intense lines, 2θ = 15–90°, sorted by position:
2θ (°)  d_spacing  I_rel
20.54  4.323  35
31.70  2.823  21
33.41  2.682  41
38.07  2.364  100
40.33  2.236  17
41.79  2.162  51
59.47  1.554  22
60.58  1.528  17
73.83  1.284  30
74.67  1.271  14

---

Entry 8:
Theoretical powder XRD pattern of RbLaMgS3 for Cu Kα (weighted mean of Kα1 and Kα2), from a crystal structure in Alexandria, relaxed with GGA-PBE.
Kinematic intensities with the Lorentz-polarization factor, no thermal factor.

Structural model:
Cell lengths 9.2191, 4.2967, 9.9605 Å; angles 90.00, 104.85, 90.00 degrees
Sites, in units of the cell vectors:
1 Rb 0.1906 0.2500 0.2126
2 Rb 0.8094 0.7500 0.7874
3 La 0.3379 0.7500 0.8530
4 La 0.6621 0.2500 0.1470
5 Mg 0.0843 0.2500 0.6036
6 Mg 0.9157 0.7500 0.3964
7 S 0.1247 0.2500 0.8520
8 S 0.1817 0.7500 0.5348
9 S 0.4541 0.7500 0.1460
10 S 0.5459 0.2500 0.8540
11 S 0.8183 0.2500 0.4652
12 S 0.8753 0.7500 0.1480

Most intense lines, 2θ = 15–90°, sorted by position:
2θ (°)  d_spacing  I_rel
19.93  4.456  18
22.66  3.924  40
23.47  3.790  34
27.81  3.208  71
28.70  3.110  100
28.87  3.093  70
31.97  2.799  19
37.25  2.414  29
42.06  2.148  28
43.33  2.088  31

---

Entry 9:
Theoretical powder XRD pattern of NaAlPbO4 for Cu Kα (weighted mean of Kα1 and Kα2), from a crystal structure in Alexandria, relaxed with GGA-PBE.
Kinematic intensities with the Lorentz-polarization factor, no thermal factor.

Structural model:
Cell lengths 6.2397, 6.2397, 6.2397 Å; angles 122.03, 115.16, 92.54 degrees
Sites, in units of the cell vectors:
1 Na 0.5000 0.0000 0.0000
2 Na 0.5000 0.5000 0.5000
3 Al 0.1063 0.3563 0.7500
4 Al 0.8937 0.6437 0.2500
5 Pb 0.0000 0.0000 0.0000
6 Pb 0.5000 0.0000 0.5000
7 O 0.2279 0.2475 0.9804
8 O 0.2328 0.7525 0.4804
9 O 0.2370 0.2441 0.5071
10 O 0.2370 0.7299 0.9929
11 O 0.7630 0.2701 0.0071
12 O 0.7630 0.7559 0.4929
13 O 0.7672 0.2475 0.5196
14 O 0.7721 0.7525 0.0196

Most intense lines, 2θ = 15–90°, sorted by position:
2θ (°)  d_spacing  I_rel
17.91  4.952  100
20.59  4.313  31
29.54  3.024  19
32.30  2.772  71
33.92  2.643  19
34.54  2.597  31
40.20  2.243  28
44.15  2.051  20
45.58  1.990  20
59.46  1.555  23

---

Entry 10:
Theoretical powder XRD pattern of LaNd3Ru for Cu Kα (weighted mean of Kα1 and Kα2), from a crystal structure in Alexandria, relaxed with GGA-PBE.
Kinematic intensities with the Lorentz-polarization factor, no thermal factor.

Structural model:
Cell lengths 7.5879, 7.5879, 7.5879 Å; angles 102.11, 120.08, 106.79 degrees
Sites, in units of the cell vectors:
1 La 0.0287 0.2500 0.2787
2 La 0.9713 0.7500 0.7213
3 Nd 0.4813 0.2483 0.7331
4 Nd 0.5002 0.2089 0.2107
5 Nd 0.5002 0.7895 0.7912
6 Nd 0.5152 0.7483 0.2669
7 Nd 0.9983 0.2895 0.7893
8 Nd 0.9983 0.7089 0.2088
9 Ru 0.5025 0.4995 0.5030
10 Ru 0.9966 0.9995 0.4970

Most intense lines, 2θ = 15–90°, sorted by position:
2θ (°)  d_spacing  I_rel
27.17  3.282  58
30.12  2.967  42
30.49  2.932  27
30.78  2.905  100
36.52  2.461  20
39.85  2.262  26
49.45  1.843  33
50.35  1.812  20
50.75  1.799  20
56.04  1.641  24

---

Entry 11:
Theoretical powder XRD pattern of SmHgPt for Cu Kα (weighted mean of Kα1 and Kα2), from a crystal structure in Alexandria, relaxed with GGA-PBE.
Kinematic intensities with the Lorentz-polarization factor, no thermal factor.

Structural model:
Cell lengths 13.4150, 3.9284, 7.8682 Å; angles 90.00, 90.00, 90.00 degrees
Sites, in units of the cell vectors:
1 Sm 0.0510 0.0000 0.2303
2 Sm 0.2500 0.0000 0.8241
3 Sm 0.4490 0.0000 0.2303
4 Sm 0.5510 0.0000 0.7697
5 Sm 0.7500 0.0000 0.1759
6 Sm 0.9490 0.0000 0.7697
7 Hg 0.1094 0.5000 0.5642
8 Hg 0.2500 0.5000 0.1786
9 Hg 0.3906 0.5000 0.5642
10 Hg 0.6094 0.5000 0.4358
11 Hg 0.7500 0.5000 0.8214
12 Hg 0.8906 0.5000 0.4358
13 Pt 0.0944 0.5000 0.9306
14 Pt 0.2500 0.0000 0.4396
15 Pt 0.4056 0.5000 0.9306
16 Pt 0.5944 0.5000 0.0694
17 Pt 0.7500 0.0000 0.5604
18 Pt 0.9056 0.5000 0.0694

Most intense lines, 2θ = 15–90°, sorted by position:
2θ (°)  d_spacing  I_rel
32.20  2.780  34
32.40  2.763  100
34.92  2.569  50
35.18  2.551  73
39.85  2.262  54
40.34  2.236  33
41.96  2.153  30
46.22  1.964  41
62.63  1.483  33
64.75  1.440  30

---

Entry 12:
Theoretical powder XRD pattern of Th3Mg2In3Os for Cu Kα (weighted mean of Kα1 and Kα2), from a crystal structure in Alexandria, relaxed with GGA-PBE.
Kinematic intensities with the Lorentz-polarization factor, no thermal factor.

Structural model:
Cell lengths 8.7089, 8.7089, 3.6715 Å; angles 90.00, 90.00, 120.00 degrees
Sites, in units of the cell vectors:
1 Th 0.0000 0.2529 0.0000
2 Th 0.2529 0.0000 0.0000
3 Th 0.7471 0.7471 0.0000
4 Mg 0.3333 0.6667 0.0000
5 Mg 0.6667 0.3333 0.0000
6 In 0.0000 0.6034 0.5000
7 In 0.3966 0.3966 0.5000
8 In 0.6034 0.0000 0.5000
9 Os 0.0000 0.0000 0.5000

Most intense lines, 2θ = 15–90°, sorted by position:
2θ (°)  d_spacing  I_rel
20.40  4.354  16
31.38  2.851  67
31.88  2.807  100
34.08  2.631  58
35.71  2.514  32
40.04  2.252  50
48.27  1.886  17
49.66  1.836  14
59.02  1.565  39
59.93  1.543  22

---

Repeat the fifth record exactly.
Theoretical powder XRD pattern of Nb4PbS8 for Cu Kα (weighted mean of Kα1 and Kα2), from a crystal structure in Alexandria, relaxed with GGA-PBE.
Kinematic intensities with the Lorentz-polarization factor, no thermal factor.

Structural model:
Cell lengths 6.7763, 6.7763, 9.5601 Å; angles 122.06, 122.06, 60.08 degrees
Sites, in units of the cell vectors:
1 Nb 0.2473 0.2473 0.9963
2 Nb 0.2465 0.7535 0.0000
3 Nb 0.7535 0.2465 0.0000
4 Nb 0.7527 0.7527 0.0037
5 Pb 0.5000 0.5000 0.5000
6 S 0.1876 0.1876 0.2087
7 S 0.1879 0.6872 0.2074
8 S 0.3128 0.8121 0.7926
9 S 0.3157 0.3157 0.7957
10 S 0.6843 0.6843 0.2043
11 S 0.6872 0.1879 0.2074
12 S 0.8121 0.3128 0.7926
13 S 0.8124 0.8124 0.7913

Most intense lines, 2θ = 15–90°, sorted by position:
2θ (°)  d_spacing  I_rel
16.19  5.474  45
19.16  4.633  16
23.27  3.822  21
23.56  3.776  14
30.45  2.935  39
32.73  2.736  22
38.86  2.317  100
54.12  1.695  26
58.09  1.588  19
68.60  1.368  17

---

Repeat the eighth record exactly.
Theoretical powder XRD pattern of RbLaMgS3 for Cu Kα (weighted mean of Kα1 and Kα2), from a crystal structure in Alexandria, relaxed with GGA-PBE.
Kinematic intensities with the Lorentz-polarization factor, no thermal factor.

Structural model:
Cell lengths 9.2191, 4.2967, 9.9605 Å; angles 90.00, 104.85, 90.00 degrees
Sites, in units of the cell vectors:
1 Rb 0.1906 0.2500 0.2126
2 Rb 0.8094 0.7500 0.7874
3 La 0.3379 0.7500 0.8530
4 La 0.6621 0.2500 0.1470
5 Mg 0.0843 0.2500 0.6036
6 Mg 0.9157 0.7500 0.3964
7 S 0.1247 0.2500 0.8520
8 S 0.1817 0.7500 0.5348
9 S 0.4541 0.7500 0.1460
10 S 0.5459 0.2500 0.8540
11 S 0.8183 0.2500 0.4652
12 S 0.8753 0.7500 0.1480

Most intense lines, 2θ = 15–90°, sorted by position:
2θ (°)  d_spacing  I_rel
19.93  4.456  18
22.66  3.924  40
23.47  3.790  34
27.81  3.208  71
28.70  3.110  100
28.87  3.093  70
31.97  2.799  19
37.25  2.414  29
42.06  2.148  28
43.33  2.088  31